[1]
Starting from the PBE geometry in Alexandria, the powder XRD pattern of Ba3Ga8Sn3 was computed for Cu Kα.

Principal peaks in the range 10° ≤ 2θ ≤ 90°, by angle:
3.395 Å, rel. 24, (3 1 0)
2.856 Å, rel. 100, (5 1 -2)
2.840 Å, rel. 49, (3 1 -3)
2.643 Å, rel. 29, (1 1 -3)
2.408 Å, rel. 39, (0 2 0)
2.393 Å, rel. 31, (6 0 0)
1.697 Å, rel. 21, (6 2 0)
1.563 Å, rel. 17, (3 1 -6)

Structural model:
Unit cell a=17.8130 b=4.8156 c=10.5647 alpha=90.00 beta=126.27 gamma=90.00
Space group C2/m (No. 12)
Asymmetric unit:
Ba: 0.0000 0.0000 0.0000 x2
Ba: 0.1831 0.5000 0.6833 x4
Ga: 0.0095 0.5000 0.2939 x4
Ga: 0.1462 0.0000 0.8682 x4
Ga: 0.1483 0.0000 0.4155 x4
Ga: 0.1719 0.5000 0.3157 x4
Sn: 0.0000 0.0000 0.5000 x2
Sn: 0.1580 0.5000 0.0264 x4

=====

[2]
Starting from the PBE geometry in Alexandria, the powder XRD pattern of Rb2U3AgS8 was computed for Cu Kα.

Principal peaks in the range 10° ≤ 2θ ≤ 90°, by angle:
8.158 Å, rel. 100, (0 0 3)
4.079 Å, rel. 18, (0 0 6)
3.448 Å, rel. 41, (0 2 1)
3.349 Å, rel. 26, (2 0 2)
3.027 Å, rel. 54, (0 2 4)
2.467 Å, rel. 26, (0 2 7)
2.298 Å, rel. 20, (2 0 8)
2.011 Å, rel. 26, (2 2 0)

Structural model:
Unit cell a=8.0422 b=8.0422 c=24.4739 alpha=90.00 beta=90.00 gamma=120.00
Space group R3m (No. 160, hexagonal axes)
Asymmetric unit:
Rb: 0.0000 0.0000 0.0000 x3
Rb: 0.0000 0.0000 0.3578 x3
U: 0.0003 0.5001 0.4987 x9
Ag: 0.0000 0.0000 0.5399 x3
S: 0.0000 0.0000 0.2234 x3
S: 0.0000 0.0000 0.7746 x3
S: 0.0295 0.5148 0.7737 x9
S: 0.1797 0.3593 0.5592 x9

=====

[3]
Starting from the PBE geometry in Alexandria, the powder XRD pattern of Nd5Te5Pt was computed for Cu Kα.

Principal peaks in the range 10° ≤ 2θ ≤ 90°, by angle:
3.175 Å, rel. 98, (0 2 0)
3.166 Å, rel. 89, (4 0 -2)
3.128 Å, rel. 90, (2 0 2)
2.241 Å, rel. 100, (4 2 -2)
2.228 Å, rel. 70, (2 2 2)
2.213 Å, rel. 33, (2 0 -4)
1.829 Å, rel. 34, (6 2 0)
1.815 Å, rel. 36, (2 2 -4)

Structural model:
Unit cell a=14.1909 b=6.3496 c=8.8514 alpha=90.00 beta=108.86 gamma=90.00
Space group C2/m (No. 12)
Asymmetric unit:
Nd: 0.0000 0.0000 0.0000 x2
Nd: 0.1519 0.5000 0.8449 x4
Nd: 0.1550 0.5000 0.3169 x4
Te: 0.0000 0.5000 0.5000 x2
Te: 0.1650 0.0000 0.8267 x4
Te: 0.1804 0.0000 0.3327 x4
Pt: 0.0000 0.5000 0.0000 x2